# 1
Diffraction record for Al5Ag3. The XRD peak list is computed, not measured: it uses a DFT-relaxed cell (GGA-PBE, Alexandria) and Cu Kα X-rays.
Neutral-atom scattering factors, no anomalous dispersion.

Crystal structure
Cell: 4.747 5.326 5.807 Å, 89.69 71.89 78.66°
Space group P-1 (No. 2)
Unique sites:
Al: 0.000 0.000 0.000 (multiplicity 1)
Al: 0.498 0.249 0.374 (multiplicity 2)
Al: 0.499 0.744 0.127 (multiplicity 2)
Ag: 0.000 0.000 0.500 (multiplicity 1)
Ag: 0.000 0.496 0.248 (multiplicity 2)

Most intense lines, 10 to 80 degrees two-theta, low angle first:
two_theta, intensity, (hkl)
20.1, 730, 1 0 0
34.4, 193, 0 2 0
35.7, 174, 1 1 2
35.9, 171, 0 1 -2
36.2, 566, 1 2 0
37.9, 1000, 0 1 2
40.9, 401, 2 0 0
43.8, 336, 1 -2 0
44.6, 308, 2 1 2
44.9, 302, 1 1 -2

# 2
Diffraction record for Al7Ag5. The XRD peak list is computed, not measured: it uses a DFT-relaxed cell (GGA-PBE, Alexandria) and Cu Kα X-rays.
Neutral-atom scattering factors, no anomalous dispersion.

Crystal structure
Cell: 9.294 8.688 5.149 Å, 90.00 101.57 90.00°
Space group C2 (No. 5)
Unique sites:
Al: 0.000 0.000 0.000 (multiplicity 2)
Al: 0.000 0.162 0.500 (multiplicity 2)
Al: 0.000 0.330 0.000 (multiplicity 2)
Al: 0.000 0.498 0.500 (multiplicity 2)
Al: 0.000 0.668 0.000 (multiplicity 2)
Al: 0.249 0.169 0.250 (multiplicity 4)
Ag: 0.000 0.826 0.500 (multiplicity 2)
Ag: 0.244 0.338 0.751 (multiplicity 4)
Ag: 0.244 0.503 0.245 (multiplicity 4)

Most intense lines, 10 to 80 degrees two-theta, low angle first:
two_theta, intensity, (hkl)
19.5, 314, 2 0 0
20.4, 209, 0 2 0
21.0, 158, 1 1 -1
24.1, 309, 1 1 1
37.1, 542, 2 0 -2
38.1, 1000, 1 3 1
39.6, 445, 4 0 0
44.4, 950, 2 0 2
63.0, 215, 1 3 -3
66.3, 200, 5 3 1

# 3
Diffraction record for Al3Ag. The XRD peak list is computed, not measured: it uses a DFT-relaxed cell (GGA-PBE, Alexandria) and Cu Kα X-rays.
Neutral-atom scattering factors, no anomalous dispersion.

Crystal structure
Cell: 2.8939 2.8939 9.2753 Å, 90.00 90.00 120.00°
Space group P-6m2 (No. 187)
Unique sites:
Al: 0.0000 0.0000 0.0000 (multiplicity 1)
Al: 0.6667 0.3333 0.2512 (multiplicity 2)
Ag: 0.0000 0.0000 0.5000 (multiplicity 1)

Most intense lines, 10 to 80 degrees two-theta, low angle first:
two_theta, intensity, (hkl)
19.1, 283, 0 0 2
35.8, 364, 1 0 0
37.2, 323, 1 0 1
38.8, 243, 0 0 4
40.9, 1000, 1 0 2
46.7, 167, 1 0 3
53.9, 214, 1 0 4
64.4, 156, 1 1 0
71.7, 179, 1 0 6
77.8, 179, 1 1 4

# 4
Diffraction record for AlAg3. The XRD peak list is computed, not measured: it uses a DFT-relaxed cell (GGA-PBE, Alexandria) and Cu Kα X-rays.
Neutral-atom scattering factors, no anomalous dispersion.

Crystal structure
Cell: 5.139 5.660 5.183 Å, 90.00 113.46 90.00°
Space group P2/c (No. 13)
Unique sites:
Al: 0.000 0.139 0.250 (multiplicity 2)
Ag: 0.000 0.357 0.750 (multiplicity 2)
Ag: 0.500 0.114 0.750 (multiplicity 2)
Ag: 0.500 0.379 0.250 (multiplicity 2)

Most intense lines, 10 to 80 degrees two-theta, low angle first:
two_theta, intensity, (hkl)
18.8, 164, 1 0 0
37.8, 520, 0 0 2
38.0, 1000, 1 2 -1
38.2, 506, 2 0 0
41.9, 387, 2 0 -2
45.3, 595, 1 2 1
63.2, 223, 1 2 -3
63.6, 205, 3 2 -1
66.0, 179, 2 0 2
73.9, 131, 3 2 -3

# 5
Diffraction record for Al5Ag3. The XRD peak list is computed, not measured: it uses a DFT-relaxed cell (GGA-PBE, Alexandria) and Cu Kα X-rays.
Neutral-atom scattering factors, no anomalous dispersion.

Crystal structure
Cell: 4.075 4.075 16.439 Å, 90.00 90.00 90.00°
Space group I4/mmm (No. 139)
Unique sites:
Al: 0.000 0.000 0.000 (multiplicity 2)
Al: 0.000 0.500 0.125 (multiplicity 8)
Ag: 0.000 0.000 0.247 (multiplicity 4)
Ag: 0.000 0.000 0.500 (multiplicity 2)

Most intense lines, 10 to 80 degrees two-theta, low angle first:
two_theta, intensity, (hkl)
10.8, 162, 0 0 2
21.6, 314, 0 0 4
31.0, 260, 1 1 0
38.1, 1000, 1 1 4
44.1, 162, 0 0 8
44.5, 359, 2 0 0
50.0, 130, 2 0 4
64.4, 199, 2 0 8
64.7, 124, 2 2 0
77.7, 233, 3 1 4

# 6
Diffraction record for Al3Ag7. The XRD peak list is computed, not measured: it uses a DFT-relaxed cell (GGA-PBE, Alexandria) and Cu Kα X-rays.
Neutral-atom scattering factors, no anomalous dispersion.

Crystal structure
Cell: 8.6913 8.6913 5.4170 Å, 90.00 90.00 120.00°
Space group P6_3mc (No. 186)
Unique sites:
Al: 0.2099 0.4197 0.0000 (multiplicity 6)
Ag: 0.0422 0.5211 0.6919 (multiplicity 6)
Ag: 0.1177 0.2355 0.4858 (multiplicity 6)
Ag: 0.3333 0.6667 0.3708 (multiplicity 2)

Most intense lines, 10 to 80 degrees two-theta, low angle first:
two_theta, intensity, (hkl)
20.2, 237, 1 0 1
31.4, 552, 2 1 0
35.2, 483, 1 0 2
35.6, 1000, 2 1 1
39.6, 982, 3 0 1
41.1, 961, 2 0 2
41.6, 477, 2 2 0
59.8, 201, 4 0 2
63.9, 222, 3 2 2
64.3, 333, 3 3 0

# 7
Diffraction record for AlAg5. The XRD peak list is computed, not measured: it uses a DFT-relaxed cell (GGA-PBE, Alexandria) and Cu Kα X-rays.
Neutral-atom scattering factors, no anomalous dispersion.

Crystal structure
Cell: 4.021 8.922 5.835 Å, 90.00 90.00 90.00°
Space group Pmmn (No. 59, origin choice 2)
Unique sites:
Al: 0.250 0.250 0.121 (multiplicity 2)
Ag: 0.250 0.250 0.627 (multiplicity 2)
Ag: 0.250 0.585 0.121 (multiplicity 4)
Ag: 0.250 0.588 0.629 (multiplicity 4)

Most intense lines, 10 to 80 degrees two-theta, low angle first:
two_theta, intensity, (hkl)
37.6, 1000, 1 3 0
38.1, 964, 1 0 2
43.4, 678, 0 3 2
45.1, 294, 2 0 0
62.5, 104, 0 6 0
64.4, 384, 2 3 2
75.6, 235, 1 6 2
76.5, 228, 1 3 4
78.2, 112, 3 3 0
78.5, 107, 3 0 2

# 8
Diffraction record for Al2Ag. The XRD peak list is computed, not measured: it uses a DFT-relaxed cell (GGA-PBE, Alexandria) and Cu Kα X-rays.
Neutral-atom scattering factors, no anomalous dispersion.

Crystal structure
Cell: 2.915 5.122 13.729 Å, 90.00 90.00 90.00°
Space group Cmce (No. 64)
Unique sites:
Al: 0.000 0.184 0.166 (multiplicity 8)
Ag: 0.000 0.000 0.500 (multiplicity 4)

Most intense lines, 10 to 80 degrees two-theta, low angle first:
two_theta, intensity, (hkl)
12.9, 1000, 0 0 2
26.0, 199, 0 0 4
36.0, 490, 1 1 1
37.5, 362, 0 2 2
39.4, 255, 0 0 6
40.7, 602, 1 1 3
44.1, 228, 0 2 4
48.9, 201, 1 1 5
63.5, 162, 1 3 1
72.9, 104, 1 3 5

# 9
Diffraction record for AlAg2. The XRD peak list is computed, not measured: it uses a DFT-relaxed cell (GGA-PBE, Alexandria) and Cu Kα X-rays.
Neutral-atom scattering factors, no anomalous dispersion.

Crystal structure
Cell: 4.5397 4.5397 5.7459 Å, 90.00 90.00 120.00°
Space group P6_3/mmc (No. 194)
Unique sites:
Al: 0.3333 0.6667 0.2500 (multiplicity 2)
Ag: 0.0000 0.0000 0.0000 (multiplicity 2)
Ag: 0.3333 0.6667 0.7500 (multiplicity 2)

Most intense lines, 10 to 80 degrees two-theta, low angle first:
two_theta, intensity, (hkl)
22.6, 111, 1 0 0
27.5, 417, 1 0 1
38.8, 1000, 1 0 2
39.7, 895, 1 1 0
49.0, 82, 2 0 1
56.7, 313, 2 0 2
64.8, 67, 2 1 1
71.5, 306, 2 1 2
72.1, 143, 3 0 0
78.9, 223, 1 1 4

# 10
Diffraction record for AlAg3. The XRD peak list is computed, not measured: it uses a DFT-relaxed cell (GGA-PBE, Alexandria) and Cu Kα X-rays.
Neutral-atom scattering factors, no anomalous dispersion.

Crystal structure
Cell: 10.249 5.669 5.201 Å, 90.00 113.68 90.00°
Space group C2/c (No. 15)
Unique sites:
Al: 0.000 0.137 0.250 (multiplicity 4)
Ag: 0.000 0.368 0.750 (multiplicity 4)
Ag: 0.241 0.116 0.730 (multiplicity 8)

Most intense lines, 10 to 80 degrees two-theta, low angle first:
two_theta, intensity, (hkl)
18.9, 154, 2 0 0
37.8, 493, 0 0 2
38.0, 1000, 2 2 -1
38.4, 475, 4 0 0
41.8, 382, 4 0 -2
45.3, 570, 2 2 1
63.0, 202, 2 2 -3
63.8, 197, 6 2 -1
73.8, 136, 6 2 -3
78.5, 196, 0 4 2

# 11
Diffraction record for Al3Ag. The XRD peak list is computed, not measured: it uses a DFT-relaxed cell (GGA-PBE, Alexandria) and Cu Kα X-rays.
Neutral-atom scattering factors, no anomalous dispersion.

Crystal structure
Cell: 5.718 2.872 8.615 Å, 90.00 108.65 90.00°
Space group P2_1/m (No. 11)
Unique sites:
Al: 0.060 0.250 0.370 (multiplicity 2)
Al: 0.306 0.250 0.878 (multiplicity 2)
Al: 0.431 0.750 0.625 (multiplicity 2)
Ag: 0.201 0.750 0.130 (multiplicity 2)

Most intense lines, 10 to 80 degrees two-theta, low angle first:
two_theta, intensity, (hkl)
10.8, 914, 0 0 1
16.5, 620, 1 0 -1
22.7, 326, 1 0 -2
33.1, 269, 2 0 0
35.4, 280, 1 1 0
38.2, 493, 2 0 1
38.3, 1000, 0 1 2
38.7, 616, 2 0 -3
44.4, 321, 0 0 4
44.7, 632, 2 1 -1

# 12
Diffraction record for Al2Ag. The XRD peak list is computed, not measured: it uses a DFT-relaxed cell (GGA-PBE, Alexandria) and Cu Kα X-rays.
Neutral-atom scattering factors, no anomalous dispersion.

Crystal structure
Cell: 5.142 6.468 6.839 Å, 70.29 89.90 72.72°
Space group P-1 (No. 2)
Unique sites:
Al: 0.023 0.125 0.291 (multiplicity 2)
Al: 0.137 0.379 0.874 (multiplicity 2)
Al: 0.203 0.628 0.455 (multiplicity 2)
Al: 0.373 0.125 0.624 (multiplicity 2)
Ag: 0.291 0.881 0.050 (multiplicity 2)
Ag: 0.449 0.369 0.219 (multiplicity 2)

Most intense lines, 10 to 80 degrees two-theta, low angle first:
two_theta, intensity, (hkl)
13.8, 452, 0 0 1
18.2, 283, 1 0 0
22.1, 163, 1 1 1
24.1, 233, 0 1 -1
37.4, 1000, 2 1 1
38.8, 451, -1 2 1
39.5, 421, 0 1 3
44.1, 301, 2 0 -2
44.5, 347, 1 3 2
44.8, 295, 1 -1 2

# 13
Diffraction record for Al5Ag3. The XRD peak list is computed, not measured: it uses a DFT-relaxed cell (GGA-PBE, Alexandria) and Cu Kα X-rays.
Neutral-atom scattering factors, no anomalous dispersion.

Crystal structure
Cell: 5.762 8.254 6.394 Å, 90.00 116.39 90.00°
Space group C2/m (No. 12)
Unique sites:
Al: 0.000 0.000 0.000 (multiplicity 2)
Al: 0.127 0.250 0.754 (multiplicity 8)
Ag: 0.000 0.500 0.000 (multiplicity 2)
Ag: 0.244 0.000 0.487 (multiplicity 4)

Most intense lines, 10 to 80 degrees two-theta, low angle first:
two_theta, intensity, (hkl)
20.3, 258, 1 1 0
21.5, 634, 0 2 0
31.0, 258, 2 0 -1
31.2, 249, 0 0 2
38.1, 1000, 2 2 -1
38.3, 976, 0 2 2
43.9, 335, 0 4 0
44.5, 313, 2 0 1
44.8, 306, 2 0 -3
76.8, 237, 2 6 -1

# 14
Diffraction record for AlAg3. The XRD peak list is computed, not measured: it uses a DFT-relaxed cell (GGA-PBE, Alexandria) and Cu Kα X-rays.
Neutral-atom scattering factors, no anomalous dispersion.

Crystal structure
Cell: 2.9586 2.9586 54.9937 Å, 90.00 90.00 120.00°
Space group R-3m (No. 166, hexagonal axes)
Unique sites:
Al: 0.0000 0.0000 0.0618 (multiplicity 6)
Ag: 0.0000 0.0000 0.1884 (multiplicity 6)
Ag: 0.0000 0.0000 0.3112 (multiplicity 6)
Ag: 0.0000 0.0000 0.4347 (multiplicity 6)

Most intense lines, 10 to 80 degrees two-theta, low angle first:
two_theta, intensity, (hkl)
14.5, 116, 0 0 9
37.5, 1000, 0 1 8
39.3, 272, 0 0 24
44.1, 605, 1 0 16
62.8, 206, 1 1 0
65.4, 160, 0 1 32
75.5, 118, 2 0 8
76.7, 212, 1 1 24
79.0, 86, 1 0 40
79.9, 99, 0 2 16